Structure and calculated powder diffraction line list of LiMnVP2O8F2 (a crystal structure in Alexandria, relaxed with PBE+U; Cu Kα, 1.54184 Å).
Kinematic intensities with the Lorentz-polarization factor, no thermal factor.

Top 10 peaks for 2θ from 15° to 90°, by angle:
h k l, d_spacing, I_rel
1 0 0, 4.879, 1000
1 0 -1, 4.690, 594
1 -1 0, 3.898, 244
1 0 1, 3.456, 722
1 -1 1, 3.433, 251
0 1 1, 3.380, 989
-1 1 1, 3.295, 248
1 1 -2, 3.025, 789
1 -2 1, 2.423, 293
2 1 -3, 1.934, 198

Crystal structure
a b c (Å): 5.174 5.276 7.381
angles (deg): 108.90 104.70 96.68
Space group P1 (No. 1)
One atom of each set of equivalent atoms:
1 Li 0.000 0.000 0.000
2 Mn 0.591 0.941 0.339
3 V 0.082 0.438 0.829
4 P 0.523 0.561 0.594
5 P 0.639 0.324 0.078
6 O 0.326 0.242 0.968
7 O 0.353 0.574 0.743
8 O 0.448 0.270 0.435
9 O 0.448 0.776 0.503
10 O 0.728 0.106 0.168
11 O 0.731 0.618 0.232
12 O 0.803 0.291 0.923
13 O 0.829 0.649 0.729
14 F 0.202 0.756 0.081
15 F 0.960 0.131 0.588